Simulated powder X-ray diffraction pattern of V3CoO8 for Cu Ka, from DFT lattice parameters and positions (PBE+U).

Structural model:
abc: 5.8198 5.9030 7.9935
angles: 89.70 89.86 89.72
Space group P1 (No. 1)
Asymmetric unit:
1 V 0.0000 0.0000 0.0000 [1 per cell]
2 V 0.0701 0.5002 0.2461 [1 per cell]
3 V 0.5673 0.4982 0.4942 [1 per cell]
4 Co 0.5013 0.9961 0.7463 [1 per cell]
5 O 0.0348 0.7754 0.1514 [1 per cell]
6 O 0.0378 0.2657 0.1051 [1 per cell]
7 O 0.2016 0.9746 0.8489 [1 per cell]
8 O 0.3586 0.4883 0.3286 [1 per cell]
9 O 0.5226 0.2802 0.6278 [1 per cell]
10 O 0.5451 0.7502 0.5926 [1 per cell]
11 O 0.7323 0.9883 0.9183 [1 per cell]
12 O 0.8495 0.4705 0.4030 [1 per cell]

Most intense lines, 2θ from 5° to 70°, sorted by position:
d_spacing	2theta	I/Imax	index
4.748	18.69	100	0 1 -1
4.705	18.86	92	1 0 1
2.951	30.28	14	0 2 0
2.910	30.73	14	2 0 0
2.888	30.96	11	1 1 2
2.873	31.13	32	1 -1 2
1.885	48.27	6	3 0 1
1.868	48.74	5	1 -2 3
1.862	48.90	6	2 -1 3
1.672	54.91	5	3 -1 2